(1)
Structure and theoretical X-ray diffraction stick pattern of RbLaTi2 (a crystal structure in Alexandria, relaxed with PBE; Cu Kα (weighted mean of Kα1 and Kα2)).

Atomic structure:
```
data_RbLaTi2
_chemical_formula_sum 'Rb4 La4 Ti8'
_symmetry_space_group_name_H-M 'I 41/a m d'
_symmetry_Int_Tables_number 141
_cell_length_a 5.023
_cell_length_b 5.023
_cell_length_c 22.152
_cell_angle_alpha 90.00
_cell_angle_beta 90.00
_cell_angle_gamma 90.00
loop_
_symmetry_equiv_pos_as_xyz
'x,y,z'
'-x,-y,-z'
'-y+1/4,x+3/4,z+1/4'
'y+1/4,-x+3/4,-z+1/4'
'-x+1/2,-y,z+1/2'
'x+1/2,y,-z+1/2'
'y+1/4,-x+1/4,z+3/4'
'-y+1/4,x+1/4,-z+3/4'
'x,-y,-z'
'-x,y,z'
'-y+1/4,-x+1/4,-z+3/4'
'y+1/4,x+1/4,z+3/4'
'-x+1/2,y,-z+1/2'
'x+1/2,-y,z+1/2'
'y+1/4,x+3/4,-z+1/4'
'-y+1/4,-x+3/4,z+1/4'
'x+1/2,y+1/2,z+1/2'
'-x+1/2,-y+1/2,-z+1/2'
'-y+3/4,x+1/4,z+3/4'
'y+3/4,-x+1/4,-z+3/4'
'-x,-y+1/2,z'
'x,y+1/2,-z'
'y+3/4,-x+3/4,z+1/4'
'-y+3/4,x+3/4,-z+1/4'
'x+1/2,-y+1/2,-z+1/2'
'-x+1/2,y+1/2,z+1/2'
'-y+3/4,-x+3/4,-z+1/4'
'y+3/4,x+3/4,z+1/4'
'-x,y+1/2,-z'
'x,-y+1/2,z'
'y+3/4,x+1/4,-z+3/4'
'-y+3/4,-x+1/4,z+3/4'
loop_
_atom_site_label
_atom_site_type_symbol
_atom_site_fract_x
_atom_site_fract_y
_atom_site_fract_z
Rb1 Rb 0.000 0.250 0.375
La1 La 0.000 0.250 0.875
Ti1 Ti 0.000 0.000 0.000
```

Main lines, most intense first (2θ = 10–90°):
2θ (°)	d (Å)	I_rel	(hkl)
26.35	3.382	100	1 1 2
35.06	2.560	47	1 1 6
18.11	4.899	35	1 0 1
39.39	2.287	34	2 0 4
32.33	2.769	30	0 0 8
54.24	1.691	26	2 2 4
16.00	5.538	25	0 0 4
35.75	2.511	22	2 0 0

=====

(2)
Structure and theoretical X-ray diffraction stick pattern of La2Re (a crystal structure in Alexandria, relaxed with PBE; Cu Kα (weighted mean of Kα1 and Kα2)).

Atomic structure:
```
data_La2Re
_chemical_formula_sum 'La8 Re4'
_symmetry_space_group_name_H-M 'C 1 m 1'
_symmetry_Int_Tables_number 8
_cell_length_a 12.105
_cell_length_b 4.188
_cell_length_c 7.073
_cell_angle_alpha 90.00
_cell_angle_beta 91.26
_cell_angle_gamma 90.00
loop_
_symmetry_equiv_pos_as_xyz
'x,y,z'
'x,-y,z'
'x+1/2,y+1/2,z'
'x+1/2,-y+1/2,z'
loop_
_atom_site_label
_atom_site_type_symbol
_atom_site_fract_x
_atom_site_fract_y
_atom_site_fract_z
La1 La 0.000 0.000 0.000
La2 La 0.104 0.000 0.516
La3 La 0.215 0.500 0.907
La4 La 0.348 0.000 0.279
Re1 Re 0.364 0.500 0.577
Re2 Re 0.412 0.000 0.737
```

Main lines, most intense first (2θ = 10–90°):
2θ (°)	d (Å)	I_rel	(hkl)
33.88	2.646	100	1 1 -2
31.92	2.804	88	4 0 -1
33.53	2.672	76	3 1 1
14.64	6.051	72	2 0 0
12.52	7.071	68	0 0 1
34.13	2.627	64	1 1 2
29.54	3.024	57	2 0 2
43.20	2.094	49	0 2 0

=====

(3)
Structure and theoretical X-ray diffraction stick pattern of La2Re (a crystal structure in Alexandria, relaxed with PBE; Cu Kα (weighted mean of Kα1 and Kα2)).

Atomic structure:
```
data_La2Re
_chemical_formula_sum 'La8 Re4'
_symmetry_space_group_name_H-M 'C m c m'
_symmetry_Int_Tables_number 63
_symmetry_space_group_name_Hall '-C 2c 2'
_cell_length_a 14.218
_cell_length_b 4.904
_cell_length_c 4.977
_cell_angle_alpha 90.00
_cell_angle_beta 90.00
_cell_angle_gamma 90.00
loop_
_atom_site_label
_atom_site_type_symbol
_atom_site_fract_x
_atom_site_fract_y
_atom_site_fract_z
La1 La 0.132 0.200 0.250
Re1 Re 0.000 0.385 0.750
```

Main lines, most intense first (2θ = 10–90°):
2θ (°)	d (Å)	I_rel	(hkl)
31.83	2.812	100	3 1 1
12.45	7.109	52	2 0 0
36.09	2.488	34	0 0 2
26.15	3.408	32	3 1 0
40.92	2.205	31	5 1 1
41.04	2.199	27	0 2 1
59.90	1.544	16	3 3 0
45.11	2.010	15	3 1 2

=====

(4)
Structure and theoretical X-ray diffraction stick pattern of LaRe8 (a crystal structure in Alexandria, relaxed with PBE; Cu Kα (weighted mean of Kα1 and Kα2)).

Atomic structure:
```
data_LaRe8
_chemical_formula_sum 'La2 Re16'
_symmetry_space_group_name_H-M 'I 4/m m m'
_symmetry_Int_Tables_number 139
_symmetry_space_group_name_Hall '-I 4 2'
_cell_length_a 8.579
_cell_length_b 8.579
_cell_length_c 4.170
_cell_angle_alpha 90.00
_cell_angle_beta 90.00
_cell_angle_gamma 90.00
loop_
_atom_site_label
_atom_site_type_symbol
_atom_site_fract_x
_atom_site_fract_y
_atom_site_fract_z
La1 La 0.000 0.000 0.000
Re1 Re 0.000 0.353 0.000
Re2 Re 0.192 0.192 0.500
```

Main lines, most intense first (2θ = 10–90°):
2θ (°)	d (Å)	I_rel	(hkl)
38.16	2.358	100	3 0 1
44.82	2.022	28	3 3 0
43.40	2.085	20	0 0 2
64.16	1.452	19	3 3 2
78.18	1.223	14	6 3 1
76.14	1.250	14	3 0 3
14.60	6.066	10	1 1 0
48.92	1.862	8	4 1 1